Ac2VSiO6: theoretical powder diffraction line list (λ = 1.5418 Å (Cu Kα)), based on a crystal structure in Alexandria, relaxed with GGA+U.

Cell and atoms:
Cell lengths 5.489, 5.489, 4.196 Å; angles 90.00, 90.00, 90.00 degrees
Space group P4mm (No. 99)
Symmetry-distinct sites (fractional):
1 Ac 0.000 0.500 0.000
2 V 0.000 0.000 0.530
3 Si 0.500 0.500 0.493
4 O 0.000 0.000 0.032
5 O 0.276 0.276 0.561
6 O 0.500 0.500 0.087

Most intense lines, 15° ≤ 2θ ≤ 90°, most intense first:
- 31.40 deg, rel. 100, (1 1 1)
- 39.22 deg, rel. 47, (2 0 1)
- 22.91 deg, rel. 46, (1 1 0)
- 32.63 deg, rel. 45, (2 0 0)
- 57.45 deg, rel. 37, (3 1 1)
- 21.17 deg, rel. 29, (0 0 1)